Starting from a DFT-relaxed cell (PBE, Alexandria), the powder XRD pattern of Nb6GaGe2 was computed for Cu Kα.
Kinematic intensities with the Lorentz-polarization factor, no thermal factor.

Structure:
```
data_Nb6GaGe2
_chemical_formula_sum 'Nb12 Ga2 Ge4'
_cell_length_a 5.070
_cell_length_b 7.432
_cell_length_c 9.778
_cell_angle_alpha 90.00
_cell_angle_beta 119.70
_cell_angle_gamma 90.00
_space_group_name_H-M_alt 'P 1 21/c 1'
_space_group_IT_number 14
_space_group_name_Hall '-P 2ybc'
loop_
_atom_site_label
_atom_site_type_symbol
_atom_site_fract_x
_atom_site_fract_y
_atom_site_fract_z
Nb1 Nb 0.041 0.163 0.441
Nb2 Nb 0.355 0.697 0.430
Nb3 Nb 0.394 0.028 0.295
Ga1 Ga 0.000 0.000 0.000
Ge1 Ge 0.172 0.120 0.759
```

Principal peaks in the range 10° ≤ 2θ ≤ 90°, in order of rising 2θ:
h k l, 2θ (°), d [Å], intensity
1 2 -2, 31.82, 2.812, 30
0 2 2, 32.00, 2.796, 34
2 0 -2, 35.42, 2.534, 30
1 0 2, 35.92, 2.500, 36
1 2 1, 36.42, 2.467, 19
2 1 -2, 37.50, 2.399, 21
1 1 2, 37.97, 2.370, 43
1 1 -4, 38.78, 2.322, 77
2 1 -3, 39.29, 2.293, 48
0 2 3, 40.04, 2.252, 41
1 3 -1, 40.53, 2.226, 100
2 1 0, 42.83, 2.111, 24



Starting from a DFT-relaxed cell (PBE, Alexandria), the powder XRD pattern of KPO3F was computed for Cu Kα.
Kinematic intensities with the Lorentz-polarization factor, no thermal factor.

Structure:
```
data_KPO3F
_chemical_formula_sum 'K4 P4 O12 F4'
_cell_length_a 7.552
_cell_length_b 11.939
_cell_length_c 4.721
_cell_angle_alpha 90.00
_cell_angle_beta 108.89
_cell_angle_gamma 90.00
_space_group_name_H-M_alt 'C 1 2/c 1'
_space_group_IT_number 15
_space_group_name_Hall '-C 2yc'
loop_
_atom_site_label
_atom_site_type_symbol
_atom_site_fract_x
_atom_site_fract_y
_atom_site_fract_z
K1 K 0.000 0.145 0.250
P1 P 0.000 0.461 0.750
O1 O 0.000 0.333 0.750
O2 O 0.143 0.468 0.520
F1 F 0.000 0.076 0.750
```

Principal peaks in the range 10° ≤ 2θ ≤ 90°, in order of rising 2θ:
h k l, 2θ (°), d [Å], intensity
1 1 0, 14.45, 6.131, 17
0 2 0, 14.84, 5.969, 63
2 0 0, 24.91, 3.574, 100
1 3 0, 25.62, 3.477, 39
2 2 -1, 30.44, 2.936, 11
1 5 0, 39.80, 2.265, 8
2 0 -2, 40.07, 2.250, 31
0 0 2, 40.37, 2.234, 17
1 5 1, 46.80, 1.941, 16
4 0 0, 51.11, 1.787, 8
4 0 -2, 54.41, 1.686, 11
2 0 2, 55.10, 1.667, 8



Starting from a DFT-relaxed cell (PBE, Alexandria), the powder XRD pattern of Dy6Er4Zr was computed for Cu Kα.
Kinematic intensities with the Lorentz-polarization factor, no thermal factor.

Structure:
```
data_Dy6Er4Zr
_chemical_formula_sum 'Dy12 Er8 Zr2'
_cell_length_a 8.690
_cell_length_b 8.690
_cell_length_c 8.855
_cell_angle_alpha 90.00
_cell_angle_beta 90.00
_cell_angle_gamma 90.00
_space_group_name_H-M_alt 'P 4/m n c'
_space_group_IT_number 128
_space_group_name_Hall '-P 4 2n'
loop_
_atom_site_label
_atom_site_type_symbol
_atom_site_fract_x
_atom_site_fract_y
_atom_site_fract_z
Dy1 Dy 0.000 0.000 0.175
Dy2 Dy 0.151 0.346 0.500
Er1 Er 0.146 0.646 0.250
Zr1 Zr 0.000 0.000 0.500
```

Principal peaks in the range 10° ≤ 2θ ≤ 90°, in order of rising 2θ:
h k l, 2θ (°), d [Å], intensity
2 2 0, 29.06, 3.072, 8
2 1 2, 30.61, 2.921, 100
3 1 0, 32.58, 2.748, 55
2 1 3, 38.29, 2.351, 9
0 0 4, 40.76, 2.214, 10
4 2 0, 46.75, 1.943, 8
4 1 2, 47.79, 1.903, 10
3 1 4, 53.12, 1.724, 11
4 0 4, 59.63, 1.551, 9
5 2 2, 61.12, 1.516, 21
3 3 4, 61.69, 1.503, 9
2 1 6, 67.94, 1.380, 10



Starting from a DFT-relaxed cell (PBE, Alexandria), the powder XRD pattern of PmDy2Y12 was computed for Cu Kα.
Kinematic intensities with the Lorentz-polarization factor, no thermal factor.

Structure:
```
data_PmDy2Y12
_chemical_formula_sum 'Pm4 Dy8 Y48'
_cell_length_a 7.160
_cell_length_b 11.242
_cell_length_c 24.454
_cell_angle_alpha 90.00
_cell_angle_beta 94.19
_cell_angle_gamma 90.00
_space_group_name_H-M_alt 'C 1 2/m 1'
_space_group_IT_number 12
_space_group_name_Hall '-C 2y'
loop_
_atom_site_label
_atom_site_type_symbol
_atom_site_fract_x
_atom_site_fract_y
_atom_site_fract_z
Pm1 Pm 0.250 0.000 0.001
Dy1 Dy 0.067 0.000 0.272
Dy2 Dy 0.068 0.500 0.272
Y1 Y 0.018 0.250 0.075
Y2 Y 0.112 0.249 0.445
Y3 Y 0.143 0.500 0.575
Y4 Y 0.144 0.000 0.575
Y5 Y 0.167 0.250 0.670
Y6 Y 0.200 0.249 0.798
Y7 Y 0.216 0.000 0.862
Y8 Y 0.216 0.500 0.861
```

Principal peaks in the range 10° ≤ 2θ ≤ 90°, in order of rising 2θ:
h k l, 2θ (°), d [Å], intensity
0 2 7, 30.15, 2.965, 100
2 2 2, 31.00, 2.885, 42
0 4 0, 31.84, 2.810, 56
2 0 -6, 32.13, 2.786, 38
2 2 -4, 32.31, 2.771, 50
0 2 8, 33.44, 2.680, 29
2 4 -6, 45.87, 1.978, 28
4 0 -1, 51.02, 1.790, 15
0 6 7, 55.68, 1.651, 17
2 2 13, 59.64, 1.550, 14
4 2 -8, 60.43, 1.532, 15
4 4 -1, 61.41, 1.510, 16



Number 4 is which compound?
PmDy2Y12